Record 1
Li2MnFeP2O8: simulated powder diffractogram (Cu Kα X-rays), based on a DFT-relaxed cell (PBE+U, the Materials Project).
Lines closer than 0.1° are merged.

Crystal structure
```
data_Li2MnFeP2O8
_cell_length_a 6.118
_cell_length_b 4.772
_cell_length_c 10.531
_cell_angle_alpha 90.00
_cell_angle_beta 90.00
_cell_angle_gamma 90.00
_symmetry_space_group_name_H-M 'P 1'
_symmetry_Int_Tables_number 1
loop_
_symmetry_equiv_pos_as_xyz
'x,y,z'
loop_
_atom_site_label
_atom_site_fract_x
_atom_site_fract_y
_atom_site_fract_z
Li1 0.249 0.249 0.000
Li2 0.249 0.751 0.500
Li3 0.751 0.249 0.000
Li4 0.751 0.751 0.500
Mn1 0.500 0.271 0.718
Mn2 0.500 0.729 0.218
Fe1 0.000 0.226 0.281
Fe2 0.000 0.774 0.781
P1 0.000 0.338 0.593
P2 0.000 0.662 0.093
P3 0.500 0.169 0.406
P4 0.500 0.831 0.906
O1 0.000 0.016 0.598
O2 0.000 0.458 0.455
O3 0.000 0.542 0.955
O4 0.000 0.984 0.098
O5 0.202 0.474 0.662
O6 0.202 0.526 0.162
O7 0.298 0.040 0.335
O8 0.298 0.960 0.835
O9 0.500 0.040 0.542
O10 0.500 0.491 0.405
O11 0.500 0.509 0.905
O12 0.500 0.960 0.042
O13 0.702 0.040 0.335
O14 0.702 0.960 0.835
O15 0.798 0.474 0.662
O16 0.798 0.526 0.162
```

Most intense lines, 10 to 90 degrees two-theta, low angle first:
- 16.84 deg, I = 284
- 20.43 deg, I = 589
- 25.14 deg, I = 867
- 29.19 deg, I = 741
- 31.64 deg, I = 275
- 34.96 deg, I = 1000
- 35.90 deg, I = 295
- 37.18 deg, I = 210
- 51.59 deg, I = 355
- 55.56 deg, I = 236
- 60.54 deg, I = 202
- 60.83 deg, I = 271


Record 2
NaMnO2: simulated powder diffractogram (Cu Kα X-rays), based on a DFT-relaxed cell (PBE+U, the Materials Project).
Lines closer than 0.1° are merged.

Crystal structure
```
data_NaMnO2
_cell_length_a 5.821
_cell_length_b 2.886
_cell_length_c 11.483
_cell_angle_alpha 90.00
_cell_angle_beta 93.99
_cell_angle_gamma 90.00
_symmetry_space_group_name_H-M 'P 1'
_symmetry_Int_Tables_number 1
loop_
_symmetry_equiv_pos_as_xyz
'x,y,z'
loop_
_atom_site_label
_atom_site_fract_x
_atom_site_fract_y
_atom_site_fract_z
Na1 0.000 0.000 0.000
Na2 0.045 0.500 0.492
Na3 0.469 0.500 0.726
Na4 0.634 0.500 0.242
Mn1 0.144 0.000 0.234
Mn2 0.491 0.500 0.978
Mn3 0.543 0.500 0.484
Mn4 0.971 0.000 0.759
O1 0.135 0.500 0.849
O2 0.282 0.500 0.327
O3 0.379 0.000 0.561
O4 0.409 0.000 0.082
O5 0.628 0.000 0.890
O6 0.722 0.000 0.416
O7 0.846 0.500 0.665
O8 0.971 0.500 0.156
```

Most intense lines, 10 to 90 degrees two-theta, low angle first:
- 16.63 deg, I = 275
- 21.02 deg, I = 688
- 22.55 deg, I = 703
- 30.80 deg, I = 520
- 31.24 deg, I = 1000
- 34.74 deg, I = 760
- 37.59 deg, I = 345
- 42.82 deg, I = 354
- 46.04 deg, I = 246
- 46.60 deg, I = 565
- 48.15 deg, I = 542
- 57.91 deg, I = 250


Record 3
MgMn8O13F3: simulated powder diffractogram (Cu Kα X-rays), based on a DFT-relaxed cell (PBE+U, the Materials Project).
Lines closer than 0.1° are merged.

Crystal structure
```
data_MgMn8O13F3
_cell_length_a 5.685
_cell_length_b 6.871
_cell_length_c 6.902
_cell_angle_alpha 95.11
_cell_angle_beta 91.77
_cell_angle_gamma 92.49
_symmetry_space_group_name_H-M 'P 1'
_symmetry_Int_Tables_number 1
loop_
_symmetry_equiv_pos_as_xyz
'x,y,z'
loop_
_atom_site_label
_atom_site_fract_x
_atom_site_fract_y
_atom_site_fract_z
Mg1 0.000 0.000 0.000
Mn1 0.235 0.016 0.513
Mn2 0.247 0.490 0.997
Mn3 0.451 0.517 0.510
Mn4 0.472 0.982 0.989
Mn5 0.725 0.751 0.260
Mn6 0.730 0.265 0.750
Mn7 0.889 0.276 0.282
Mn8 0.979 0.714 0.717
O1 0.216 0.539 0.704
O2 0.220 0.937 0.784
O3 0.474 0.232 0.549
O4 0.485 0.786 0.451
O5 0.488 0.262 0.946
O6 0.488 0.712 0.049
O7 0.678 0.488 0.309
O8 0.708 0.545 0.696
O9 0.736 0.016 0.184
O10 0.953 0.207 0.537
O11 0.972 0.293 0.986
O12 0.991 0.796 0.460
O13 0.996 0.698 0.006
F1 0.204 0.455 0.301
F2 0.223 0.057 0.220
F3 0.755 0.949 0.785
```

Most intense lines, 10 to 90 degrees two-theta, low angle first:
- 24.09 deg, I = 772
- 25.45 deg, I = 622
- 29.90 deg, I = 1000
- 30.89 deg, I = 552
- 31.16 deg, I = 573
- 35.33 deg, I = 382
- 36.12 deg, I = 360
- 36.39 deg, I = 291
- 40.54 deg, I = 344
- 53.32 deg, I = 457
- 53.62 deg, I = 297
- 55.38 deg, I = 271


Record 4
Fe3O4F2: simulated powder diffractogram (Cu Kα X-rays), based on a DFT-relaxed cell (PBE+U, the Materials Project).
Lines closer than 0.1° are merged.

Crystal structure
```
data_Fe3O4F2
_cell_length_a 4.710
_cell_length_b 14.029
_cell_length_c 3.053
_cell_angle_alpha 90.00
_cell_angle_beta 90.00
_cell_angle_gamma 90.00
_symmetry_space_group_name_H-M 'P 1'
_symmetry_Int_Tables_number 1
loop_
_symmetry_equiv_pos_as_xyz
'x,y,z'
loop_
_atom_site_label
_atom_site_fract_x
_atom_site_fract_y
_atom_site_fract_z
Fe1 0.000 0.000 0.000
Fe2 0.066 0.324 0.000
Fe3 0.434 0.824 0.500
Fe4 0.500 0.500 0.500
Fe5 0.566 0.176 0.500
Fe6 0.934 0.676 0.000
O1 0.168 0.934 0.500
O2 0.247 0.266 0.500
O3 0.253 0.766 0.000
O4 0.332 0.434 0.000
O5 0.668 0.566 0.000
O6 0.747 0.234 0.000
O7 0.753 0.734 0.500
O8 0.832 0.066 0.500
F1 0.157 0.601 0.500
F2 0.343 0.101 0.000
F3 0.657 0.899 0.000
F4 0.843 0.399 0.500
```

Most intense lines, 10 to 90 degrees two-theta, low angle first:
- 22.74 deg, I = 60
- 26.87 deg, I = 1000
- 35.07 deg, I = 557
- 40.13 deg, I = 130
- 50.63 deg, I = 101
- 52.85 deg, I = 209
- 53.02 deg, I = 304
- 55.37 deg, I = 121
- 55.84 deg, I = 57
- 60.66 deg, I = 131
- 67.44 deg, I = 170
- 67.54 deg, I = 119


Record 5
Li4Nb3V2Ni3O16: simulated powder diffractogram (Cu Kα X-rays), based on a DFT-relaxed cell (PBE+U, the Materials Project).
Lines closer than 0.1° are merged.

Crystal structure
```
data_Li4Nb3V2Ni3O16
_cell_length_a 6.054
_cell_length_b 6.054
_cell_length_c 9.742
_cell_angle_alpha 90.08
_cell_angle_beta 90.08
_cell_angle_gamma 60.48
_symmetry_space_group_name_H-M 'P 1'
_symmetry_Int_Tables_number 1
loop_
_symmetry_equiv_pos_as_xyz
'x,y,z'
loop_
_atom_site_label
_atom_site_fract_x
_atom_site_fract_y
_atom_site_fract_z
Li1 0.000 0.000 0.000
Li2 0.019 0.019 0.524
Li3 0.349 0.349 0.421
Li4 0.683 0.683 0.902
Nb1 0.196 0.196 0.739
Nb2 0.359 0.857 0.230
Nb3 0.857 0.359 0.230
V1 0.366 0.366 0.995
V2 0.698 0.698 0.521
Ni1 0.205 0.674 0.729
Ni2 0.674 0.205 0.729
Ni3 0.850 0.850 0.234
O1 0.020 0.020 0.815
O2 0.024 0.024 0.335
O3 0.051 0.495 0.862
O4 0.186 0.186 0.123
O5 0.199 0.692 0.121
O6 0.345 0.345 0.617
O7 0.366 0.855 0.612
O8 0.495 0.051 0.862
O9 0.501 0.501 0.865
O10 0.529 0.974 0.361
O11 0.536 0.536 0.352
O12 0.680 0.680 0.118
O13 0.692 0.199 0.121
O14 0.846 0.846 0.603
O15 0.855 0.366 0.612
O16 0.974 0.529 0.361
```

Most intense lines, 10 to 90 degrees two-theta, low angle first:
- 18.21 deg, I = 1000
- 19.15 deg, I = 667
- 19.25 deg, I = 349
- 32.40 deg, I = 283
- 34.90 deg, I = 318
- 35.30 deg, I = 562
- 35.54 deg, I = 297
- 38.87 deg, I = 291
- 44.28 deg, I = 510
- 44.48 deg, I = 265
- 58.96 deg, I = 318
- 61.24 deg, I = 273


Record 6
Fe3BO5: simulated powder diffractogram (Cu Kα X-rays), based on a DFT-relaxed cell (PBE+U, the Materials Project).
Lines closer than 0.1° are merged.

Crystal structure
```
data_Fe3BO5
_cell_length_a 5.588
_cell_length_b 3.104
_cell_length_c 10.797
_cell_angle_alpha 90.00
_cell_angle_beta 93.35
_cell_angle_gamma 90.00
_symmetry_space_group_name_H-M 'P 1'
_symmetry_Int_Tables_number 1
loop_
_symmetry_equiv_pos_as_xyz
'x,y,z'
loop_
_atom_site_label
_atom_site_fract_x
_atom_site_fract_y
_atom_site_fract_z
Fe1 0.000 0.000 0.000
Fe2 0.000 0.000 0.500
Fe3 0.220 0.500 0.273
Fe4 0.500 0.000 0.500
Fe5 0.500 0.500 0.000
Fe6 0.780 0.500 0.727
B1 0.285 0.000 0.758
B2 0.715 0.000 0.242
O1 0.064 0.000 0.692
O2 0.179 0.500 0.088
O3 0.233 0.500 0.468
O4 0.295 0.000 0.887
O5 0.496 0.000 0.697
O6 0.504 0.000 0.303
O7 0.705 0.000 0.113
O8 0.767 0.500 0.532
O9 0.821 0.500 0.912
O10 0.936 0.000 0.308
```

Most intense lines, 10 to 90 degrees two-theta, low angle first:
- 16.45 deg, I = 397
- 17.47 deg, I = 218
- 18.33 deg, I = 209
- 33.26 deg, I = 910
- 34.32 deg, I = 1000
- 35.36 deg, I = 520
- 37.15 deg, I = 245
- 43.63 deg, I = 491
- 44.09 deg, I = 369
- 55.17 deg, I = 208
- 57.20 deg, I = 205
- 59.56 deg, I = 400


Record 7
Mg2Co3O8: simulated powder diffractogram (Cu Kα X-rays), based on a DFT-relaxed cell (PBE+U, the Materials Project).
Lines closer than 0.1° are merged.

Crystal structure
```
data_Mg2Co3O8
_cell_length_a 5.837
_cell_length_b 5.837
_cell_length_c 9.450
_cell_angle_alpha 90.00
_cell_angle_beta 90.00
_cell_angle_gamma 120.00
_symmetry_space_group_name_H-M 'P 1'
_symmetry_Int_Tables_number 1
loop_
_symmetry_equiv_pos_as_xyz
'x,y,z'
loop_
_atom_site_label
_atom_site_fract_x
_atom_site_fract_y
_atom_site_fract_z
Mg1 0.333 0.667 0.000
Mg2 0.333 0.667 0.402
Mg3 0.667 0.333 0.500
Mg4 0.667 0.333 0.902
Co1 0.164 0.327 0.723
Co2 0.164 0.836 0.723
Co3 0.327 0.164 0.223
Co4 0.673 0.836 0.723
Co5 0.836 0.164 0.223
Co6 0.836 0.673 0.223
O1 0.000 0.000 0.336
O2 0.000 0.000 0.836
O3 0.037 0.519 0.841
O4 0.160 0.320 0.125
O5 0.160 0.840 0.125
O6 0.320 0.160 0.625
O7 0.333 0.667 0.610
O8 0.481 0.519 0.841
O9 0.481 0.963 0.841
O10 0.519 0.037 0.341
O11 0.519 0.481 0.341
O12 0.667 0.333 0.110
O13 0.680 0.840 0.125
O14 0.840 0.160 0.625
O15 0.840 0.680 0.625
O16 0.963 0.481 0.341
```

Most intense lines, 10 to 90 degrees two-theta, low angle first:
- 18.78 deg, I = 1000
- 19.92 deg, I = 342
- 25.81 deg, I = 320
- 33.52 deg, I = 258
- 36.18 deg, I = 397
- 36.81 deg, I = 610
- 40.47 deg, I = 342
- 46.04 deg, I = 451
- 53.06 deg, I = 204
- 56.32 deg, I = 182
- 61.24 deg, I = 420
- 63.78 deg, I = 353


Record 8
FeO2: simulated powder diffractogram (Cu Kα X-rays), based on a DFT-relaxed cell (PBE+U, the Materials Project).
Lines closer than 0.1° are merged.

Crystal structure
```
data_FeO2
_cell_length_a 5.816
_cell_length_b 5.816
_cell_length_c 5.816
_cell_angle_alpha 61.55
_cell_angle_beta 61.55
_cell_angle_gamma 61.55
_symmetry_space_group_name_H-M 'P 1'
_symmetry_Int_Tables_number 1
loop_
_symmetry_equiv_pos_as_xyz
'x,y,z'
loop_
_atom_site_label
_atom_site_fract_x
_atom_site_fract_y
_atom_site_fract_z
Fe1 0.000 0.000 0.000
Fe2 0.125 0.609 0.609
Fe3 0.609 0.125 0.609
Fe4 0.609 0.609 0.125
O1 0.367 0.367 0.367
O2 0.367 0.367 0.813
O3 0.367 0.813 0.367
O4 0.395 0.869 0.869
O5 0.813 0.367 0.367
O6 0.863 0.863 0.863
O7 0.869 0.395 0.869
O8 0.869 0.869 0.395
```

Most intense lines, 10 to 90 degrees two-theta, low angle first:
- 18.33 deg, I = 147
- 18.91 deg, I = 1000
- 21.37 deg, I = 536
- 30.76 deg, I = 372
- 35.41 deg, I = 824
- 35.73 deg, I = 413
- 36.36 deg, I = 139
- 43.52 deg, I = 543
- 58.19 deg, I = 239
- 62.40 deg, I = 341
- 64.07 deg, I = 274
- 65.84 deg, I = 148